Starting from a DFT-relaxed cell (GGA-PBE, the Materials Project), the PXRD pattern of Zr7Cu10 was simulated for Cu Ka.
Intensities are scaled so that the largest is 100.

Structure:
Cell lengths 7.819, 7.819, 9.330 Å; angles 90.00, 90.00, 72.90 degrees
Positions (direct):
Zr: 0.000 0.000 0.000
Zr: 0.020 0.480 0.250
Zr: 0.189 0.811 0.696
Zr: 0.191 0.191 0.500
Zr: 0.309 0.309 0.000
Zr: 0.311 0.689 0.196
Zr: 0.480 0.020 0.750
Zr: 0.500 0.500 0.500
Zr: 0.520 0.980 0.250
Zr: 0.689 0.311 0.804
Zr: 0.691 0.691 0.000
Zr: 0.809 0.809 0.500
Zr: 0.811 0.189 0.304
Zr: 0.980 0.520 0.750
Cu: 0.060 0.649 0.991
Cu: 0.106 0.894 0.400
Cu: 0.120 0.169 0.794
Cu: 0.149 0.560 0.491
Cu: 0.169 0.120 0.206
Cu: 0.331 0.380 0.706
Cu: 0.351 0.940 0.991
Cu: 0.380 0.331 0.294
Cu: 0.394 0.606 0.900
Cu: 0.440 0.851 0.491
Cu: 0.560 0.149 0.509
Cu: 0.606 0.394 0.100
Cu: 0.620 0.669 0.706
Cu: 0.649 0.060 0.009
Cu: 0.669 0.620 0.294
Cu: 0.831 0.880 0.794
Cu: 0.851 0.440 0.509
Cu: 0.880 0.831 0.206
Cu: 0.894 0.106 0.600
Cu: 0.940 0.351 0.009

Main lines, most intense first (2θ from 10° to 80°):
2theta	intensity
39.64	100
37.32	85
38.60	26
46.72	19
41.78	19
38.77	19
40.00	17
55.86	16
43.15	16
41.44	11

Starting from a DFT-relaxed cell (GGA-PBE, the Materials Project), the PXRD pattern of ZrCu3 was simulated for Cu Ka.
Intensities are scaled so that the largest is 100.

Structure:
Cell lengths 5.656, 5.656, 4.244 Å; angles 90.00, 90.00, 120.00 degrees
Positions (direct):
Zr: 0.333 0.667 0.250
Zr: 0.667 0.333 0.750
Cu: 0.151 0.303 0.750
Cu: 0.151 0.849 0.750
Cu: 0.303 0.151 0.250
Cu: 0.697 0.849 0.750
Cu: 0.849 0.151 0.250
Cu: 0.849 0.697 0.250

Main lines, most intense first (2θ from 10° to 80°):
2theta	intensity
42.62	100
36.70	21
78.01	14
66.08	12
57.47	11
27.82	5
49.22	3
60.78	2
67.10	2
73.15	1

Starting from a DFT-relaxed cell (GGA-PBE, the Materials Project), the PXRD pattern of DyEr3 was simulated for Cu Ka.
Intensities are scaled so that the largest is 100.

Structure:
Cell lengths 7.177, 7.177, 5.613 Å; angles 90.00, 90.00, 120.00 degrees
Positions (direct):
Dy: 0.333 0.667 0.250
Dy: 0.667 0.333 0.750
Er: 0.166 0.332 0.750
Er: 0.166 0.834 0.750
Er: 0.332 0.166 0.250
Er: 0.668 0.834 0.750
Er: 0.834 0.166 0.250
Er: 0.834 0.668 0.250

Main lines, most intense first (2θ from 10° to 80°):
2theta	intensity
32.94	100
31.89	24
28.72	24
61.32	23
57.50	21
50.89	20
61.96	16
43.45	16
69.09	4
74.14	3

Starting from a DFT-relaxed cell (GGA-PBE, the Materials Project), the PXRD pattern of DyErMn4 was simulated for Cu Ka.
Intensities are scaled so that the largest is 100.

Structure:
Cell lengths 5.109, 5.109, 8.394 Å; angles 90.12, 90.12, 60.21 degrees
Positions (direct):
Dy: 0.167 0.167 0.436
Dy: 0.833 0.833 0.564
Er: 0.167 0.167 0.063
Er: 0.833 0.833 0.937
Mn: 0.162 0.669 0.247
Mn: 0.331 0.331 0.753
Mn: 0.331 0.838 0.753
Mn: 0.500 0.500 0.000
Mn: 0.500 0.500 0.500
Mn: 0.669 0.162 0.247
Mn: 0.669 0.669 0.247
Mn: 0.838 0.331 0.753

Main lines, most intense first (2θ from 10° to 80°):
2theta	intensity
38.04	100
41.31	63
35.13	45
42.16	33
41.42	31
35.01	23
70.34	22
64.82	20
42.29	16
20.05	16

Starting from a DFT-relaxed cell (GGA-PBE, the Materials Project), the PXRD pattern of DyErMn4 was simulated for Cu Ka.
Intensities are scaled so that the largest is 100.

Structure:
Cell lengths 5.094, 5.094, 5.094 Å; angles 60.00, 60.00, 60.00 degrees
Positions (direct):
Dy: 0.000 0.000 0.000
Er: 0.250 0.250 0.250
Mn: 0.125 0.625 0.625
Mn: 0.625 0.125 0.625
Mn: 0.625 0.625 0.125
Mn: 0.625 0.625 0.625

Main lines, most intense first (2θ from 10° to 80°):
2theta	intensity
41.58	100
35.24	72
67.57	30
63.24	27
74.51	22
21.36	21
43.52	12
55.61	6
78.56	5
50.69	1

Starting from a DFT-relaxed cell (GGA-PBE, the Materials Project), the PXRD pattern of DyErTe2 was simulated for Cu Ka.
Intensities are scaled so that the largest is 100.

Structure:
Cell lengths 4.325, 4.325, 6.157 Å; angles 90.00, 90.00, 90.00 degrees
Positions (direct):
Dy: 0.000 0.000 0.000
Er: 0.500 0.500 0.500
Te: 0.000 0.000 0.500
Te: 0.500 0.500 0.000

Main lines, most intense first (2θ from 10° to 80°):
2theta	intensity
29.20	100
41.62	77
29.00	51
51.65	41
41.77	38
76.16	26
68.20	18
68.52	17
68.62	17
75.86	13

Starting from a DFT-relaxed cell (GGA-PBE, the Materials Project), the PXRD pattern of DyErTl2 was simulated for Cu Ka.
Intensities are scaled so that the largest is 100.

Structure:
Cell lengths 7.591, 7.591, 7.591 Å; angles 90.00, 90.00, 90.00 degrees
Positions (direct):
Dy: 0.000 0.000 0.000
Dy: 0.000 0.500 0.500
Dy: 0.500 0.000 0.500
Dy: 0.500 0.500 0.000
Er: 0.000 0.000 0.500
Er: 0.000 0.500 0.000
Er: 0.500 0.000 0.000
Er: 0.500 0.500 0.500
Tl: 0.250 0.250 0.250
Tl: 0.250 0.250 0.750
Tl: 0.250 0.750 0.250
Tl: 0.250 0.750 0.750
Tl: 0.750 0.250 0.250
Tl: 0.750 0.250 0.750
Tl: 0.750 0.750 0.250
Tl: 0.750 0.750 0.750

Main lines, most intense first (2θ from 10° to 80°):
2theta	intensity
33.38	100
59.67	39
47.93	18
79.92	17
70.12	12
23.44	1
54.02	1

Starting from a DFT-relaxed cell (GGA-PBE, the Materials Project), the PXRD pattern of DyErZn2 was simulated for Cu Ka.
Intensities are scaled so that the largest is 100.

Structure:
Cell lengths 7.117, 7.117, 7.117 Å; angles 90.00, 90.00, 90.00 degrees
Positions (direct):
Dy: 0.000 0.000 0.000
Dy: 0.000 0.500 0.500
Dy: 0.500 0.000 0.500
Dy: 0.500 0.500 0.000
Er: 0.000 0.000 0.500
Er: 0.000 0.500 0.000
Er: 0.500 0.000 0.000
Er: 0.500 0.500 0.500
Zn: 0.250 0.250 0.250
Zn: 0.250 0.250 0.750
Zn: 0.250 0.750 0.250
Zn: 0.250 0.750 0.750
Zn: 0.750 0.250 0.250
Zn: 0.750 0.250 0.750
Zn: 0.750 0.750 0.250
Zn: 0.750 0.750 0.750

Main lines, most intense first (2θ from 10° to 80°):
2theta	intensity
35.68	100
64.10	36
25.02	19
51.35	18
75.58	11
57.95	8
44.08	6